Entry 1:
LiCo3O6: simulated powder diffraction line list (λ = 1.5418 Å (Cu Kα)), based on a cell relaxed with GGA+U.

Structure:
a b c (Å): 4.8785 4.8785 10.4446
angles (deg): 104.07 104.07 60.09
Element x y z (fractional)
Li 0.0889 0.9111 0.5000
Li 0.9111 0.0889 0.0000
Co 0.1656 0.3341 0.7502
Co 0.3341 0.1656 0.2502
Co 0.5002 0.6650 0.7502
Co 0.6650 0.5002 0.2502
Co 0.8292 0.9968 0.7424
Co 0.9968 0.8292 0.2424
O 0.0322 0.1935 0.3442
O 0.1394 0.6292 0.6501
O 0.1935 0.0322 0.8442
O 0.3006 0.8038 0.1501
O 0.3606 0.5370 0.3446
O 0.4505 0.9648 0.6499
O 0.5370 0.3606 0.8446
O 0.6292 0.1394 0.1501
O 0.7038 0.8653 0.3448
O 0.8038 0.3006 0.6501
O 0.8653 0.7038 0.8448
O 0.9648 0.4505 0.1499

Most intense lines, 2θ = 15–90°, sorted by position:
2θ 17.70, I 100; 2θ 37.89, I 19; 2θ 38.06, I 10; 2θ 45.83, I 10; 2θ 46.03, I 10; 2θ 46.31, I 10; 2θ 59.37, I 6; 2θ 59.67, I 5; 2θ 66.31, I 7; 2θ 69.11, I 6

=====

Entry 2:
SnW2F4: simulated powder diffraction line list (λ = 1.5418 Å (Cu Kα)), based on a cell relaxed with GGA+U.

Structure:
a b c (Å): 4.7468 4.7468 13.6124
angles (deg): 90.00 90.00 90.00
Element x y z (fractional)
Sn 0.0000 0.0000 0.0000
Sn 0.5000 0.5000 0.5000
W 0.0000 0.0000 0.3379
W 0.0000 0.0000 0.6621
W 0.5000 0.5000 0.1621
W 0.5000 0.5000 0.8379
F 0.0000 0.0000 0.1826
F 0.0000 0.0000 0.8174
F 0.0000 0.5000 0.0000
F 0.0000 0.5000 0.5000
F 0.5000 0.0000 0.0000
F 0.5000 0.0000 0.5000
F 0.5000 0.5000 0.3174
F 0.5000 0.5000 0.6826

Most intense lines, 2θ = 15–90°, sorted by position:
2θ 26.56, I 63; 2θ 27.19, I 100; 2θ 37.91, I 34; 2θ 39.73, I 14; 2θ 47.27, I 46; 2θ 48.43, I 24; 2θ 56.08, I 20; 2θ 61.80, I 12; 2θ 75.14, I 12; 2θ 76.02, I 13